Entry 1:
Structure and theoretical X-ray powder pattern of NaNbO3 (a structure optimized by DFT (PBE); Cu Ka).

The 6 most intense peaks (2θ from 10° to 90°), low angle first:
22.24°, d 3.997, I 73, hkl 1 0 1; 22.54°, d 3.944, I 34, hkl 0 2 0; 31.51°, d 2.840, I 21, hkl 2 0 0; 31.86°, d 2.808, I 100, hkl 1 2 1; 45.38°, d 1.998, I 36, hkl 2 0 2; 51.26°, d 1.782, I 21, hkl 2 2 2

Cell and atoms:
Cell: 5.679 7.889 5.626 Å, 90.00 90.00 90.00°
Fractional coordinates of all 20 atoms:
Na (0.007, 0.250, 0.005)
Na (0.493, 0.750, 0.505)
Na (0.507, 0.250, 0.495)
Na (0.993, 0.750, 0.995)
Nb (0.000, 0.000, 0.500)
Nb (0.000, 0.500, 0.500)
Nb (0.500, 0.000, 0.000)
Nb (0.500, 0.500, 0.000)
O (0.001, 0.750, 0.436)
O (0.249, 0.533, 0.751)
O (0.249, 0.967, 0.751)
O (0.251, 0.033, 0.251)
O (0.251, 0.467, 0.251)
O (0.499, 0.250, 0.936)
O (0.501, 0.750, 0.064)
O (0.749, 0.533, 0.749)
O (0.749, 0.967, 0.749)
O (0.751, 0.033, 0.249)
O (0.751, 0.467, 0.249)
O (0.999, 0.250, 0.564)



Entry 2:
Structure and theoretical X-ray powder pattern of MgHg2Bi4O12 (a structure optimized by DFT (PBE); Cu Ka).

The 6 most intense peaks (2θ from 10° to 90°), low angle first:
22.60°, d 3.935, I 100, hkl 1 1 0; 24.66°, d 3.610, I 86, hkl 1 -1 0; 29.88°, d 2.991, I 58, hkl 0 1 3; 30.42°, d 2.938, I 54, hkl 1 0 3; 30.92°, d 2.892, I 57, hkl 0 1 -3; 32.81°, d 2.729, I 43, hkl 0 2 0

Cell and atoms:
Cell: 5.214 5.483 10.483 Å, 87.73 88.06 84.99°
Fractional coordinates of all 19 atoms:
Mg (0.000, 0.000, 0.000)
Hg (0.463, 0.157, 0.853)
Hg (0.678, 0.687, 0.388)
Bi (0.172, 0.170, 0.565)
Bi (0.186, 0.207, 0.234)
Bi (0.636, 0.631, 0.054)
Bi (0.697, 0.651, 0.706)
O (0.361, 0.921, 0.707)
O (0.362, 0.960, 0.050)
O (0.372, 0.000, 0.400)
O (0.455, 0.483, 0.220)
O (0.456, 0.532, 0.881)
O (0.483, 0.441, 0.578)
O (0.817, 0.833, 0.877)
O (0.862, 0.831, 0.162)
O (0.889, 0.869, 0.564)
O (0.933, 0.340, 0.051)
O (0.968, 0.338, 0.728)
O (0.982, 0.369, 0.404)



Entry 3:
Structure and theoretical X-ray powder pattern of NdCu (a structure optimized by DFT (PBE); Cu Ka).

The 6 most intense peaks (2θ from 10° to 90°), low angle first:
28.00°, d 3.187, I 89, hkl 1 1 1; 31.12°, d 2.874, I 100, hkl 2 1 0; 34.32°, d 2.613, I 83, hkl 1 0 2; 35.12°, d 2.555, I 86, hkl 2 1 1; 39.56°, d 2.278, I 61, hkl 0 2 0; 39.77°, d 2.267, I 88, hkl 1 1 2

Cell and atoms:
Cell: 7.405 4.556 5.585 Å, 90.00 90.00 90.00°
Fractional coordinates of all 8 atoms:
Nd (0.180, 0.250, 0.125)
Nd (0.320, 0.750, 0.625)
Nd (0.680, 0.250, 0.375)
Nd (0.820, 0.750, 0.875)
Cu (0.033, 0.250, 0.618)
Cu (0.467, 0.750, 0.118)
Cu (0.533, 0.250, 0.882)
Cu (0.967, 0.750, 0.382)